This entry pairs a crystal structure of TeW2O8 with its computed powder diffractogram. Radiation: Cu Kα X-rays. Structure: a DFT-relaxed cell (PBE+U, Alexandria).

Crystal structure
a b c (Å): 5.278 5.727 10.853
angles (deg): 90.00 110.71 90.00
Space group P2/c (No. 13)
One atom of each set of equivalent atoms:
Te  0.000  0.095  0.250 x2
W  0.249  0.345  0.008 x4
O  0.135  0.430  0.609 x4
O  0.214  0.104  0.114 x4
O  0.235  0.138  0.863 x4
O  0.367  0.372  0.411 x4

Top 10 peaks for 2θ = 10–90°, by intensity:
| 2θ/deg | intensity | (hkl) |
| --- | --- | --- |
| 23.4 | 100 | 0 1 2 |
| 27.5 | 84 | 1 1 1 |
| 30.5 | 64 | 1 1 -3 |
| 17.5 | 63 | 0 0 2 |
| 23.0 | 62 | 1 1 -1 |
| 35.8 | 51 | 1 2 -1 |
| 34.3 | 31 | 2 0 -2 |
| 53.0 | 31 | 1 2 -5 |
| 49.3 | 28 | 1 2 3 |
| 46.2 | 24 | 2 0 2 |